Starting from a structure optimized by DFT (GGA-PBE), the powder XRD pattern of BAsH was calculated for Cu Kα.
Peak positions follow from Bragg's law for the DFT cell and can differ from measured ones.

Top 10 peaks for 2θ = 15–90°, in order of falling intensity:
index  2theta  d/Å  intensity
2 1 1  26.79  3.328  1000
1 1 0  15.79  5.613  924
1 1 1  23.40  3.801  541
3 0 2  41.70  2.166  450
3 2 1  40.31  2.238  384
4 1 1  37.58  2.393  310
1 3 0  43.35  2.087  297
0 2 0  28.06  3.180  291
2 3 2  58.40  1.580  235
4 0 0  29.96  2.983  219

Structural model:
a b c (Å): 11.9310 6.3604 5.1660
angles (deg): 90.00 90.00 90.00
Fractional coordinates of all 24 atoms:
B (0.0645, 0.1467, 0.1733)
B (0.0645, 0.8533, 0.6733)
B (0.4355, 0.3533, 0.6733)
B (0.4355, 0.6467, 0.1733)
B (0.5645, 0.3533, 0.8267)
B (0.5645, 0.6467, 0.3267)
B (0.9355, 0.1467, 0.3267)
B (0.9355, 0.8533, 0.8267)
As (0.0893, 0.1800, 0.6032)
As (0.0893, 0.8200, 0.1032)
As (0.4107, 0.3200, 0.1032)
As (0.4107, 0.6800, 0.6032)
As (0.5893, 0.3200, 0.3968)
As (0.5893, 0.6800, 0.8968)
As (0.9107, 0.1800, 0.8968)
As (0.9107, 0.8200, 0.3968)
H (0.1271, 0.2842, 0.1041)
H (0.1271, 0.7158, 0.6041)
H (0.3729, 0.2158, 0.6041)
H (0.3729, 0.7842, 0.1041)
H (0.6271, 0.2158, 0.8959)
H (0.6271, 0.7842, 0.3959)
H (0.8729, 0.2842, 0.3959)
H (0.8729, 0.7158, 0.8959)